# 1
Diffraction record for AcGeAu4. The powder diffractogram is simulated, not measured: it uses the GGA-PBE geometry in Alexandria and a wavelength of 1.5418 Å.
Peak positions follow from Bragg's law for the DFT cell and can differ from measured ones.

Crystal structure
Cell lengths 5.220, 14.847, 7.184 Å; angles 90.00, 90.00, 90.00 degrees
Space group Cmcm (No. 63)
Inequivalent atoms, fractional coordinates:
Ac  0.000  0.109  0.250 [4 per cell]
Ge  0.000  0.373  0.250 [4 per cell]
Au  0.000  0.106  0.750 [4 per cell]
Au  0.000  0.285  0.559 [8 per cell]
Au  0.000  0.500  0.000 [4 per cell]

Largest 10 diffraction maxima, in order of rising 2θ, 2θ from 5° to 70°:
(1 1 2), 2θ 30.8, 2.902 Å, I 514; (2 0 0), 2θ 34.4, 2.610 Å, I 400; (1 5 0), 2θ 34.8, 2.581 Å, I 1000; (1 1 3), 2θ 42.0, 2.153 Å, I 137; (2 4 2), 2θ 49.7, 1.835 Å, I 338; (2 6 2), 2θ 57.4, 1.606 Å, I 76; (3 1 2), 2θ 59.3, 1.557 Å, I 83; (3 5 0), 2θ 61.8, 1.501 Å, I 106; (1 5 4), 2θ 63.1, 1.474 Å, I 83; (1 9 2), 2θ 64.7, 1.441 Å, I 152

# 2
Diffraction record for Ac2Ge5Au12. The powder diffractogram is simulated, not measured: it uses the GGA-PBE geometry in Alexandria and a wavelength of 1.5418 Å.
Peak positions follow from Bragg's law for the DFT cell and can differ from measured ones.

Crystal structure
Cell lengths 9.9824, 9.9824, 13.7008 Å; angles 90.00, 90.00, 120.00 degrees
Space group R-3m (No. 166, hexagonal axes)
Inequivalent atoms, fractional coordinates:
Ac  0.0000  0.0000  0.1612 [6 per cell]
Ge  0.0000  0.0000  0.4036 [6 per cell]
Ge  0.0000  0.5000  0.0000 [9 per cell]
Au  0.0000  0.3070  0.5000 [18 per cell]
Au  0.0061  0.5031  0.6540 [18 per cell]

Largest 10 diffraction maxima, in order of rising 2θ, 2θ from 5° to 70°:
(1 1 0), 2θ 17.8, 4.991 Å, I 157; (3 0 0), 2θ 31.0, 2.882 Å, I 301; (0 2 4), 2θ 33.4, 2.685 Å, I 263; (2 2 0), 2θ 36.0, 2.496 Å, I 296; (0 3 3), 2θ 36.9, 2.437 Å, I 1000; (0 0 6), 2θ 39.5, 2.283 Å, I 278; (2 2 3), 2θ 41.2, 2.190 Å, I 444; (3 3 3), 2θ 59.1, 1.563 Å, I 211; (6 0 0), 2θ 64.7, 1.441 Å, I 205; (0 3 9), 2θ 69.9, 1.346 Å, I 191

# 3
Diffraction record for Ac3HgGe2Au6. The powder diffractogram is simulated, not measured: it uses the GGA-PBE geometry in Alexandria and a wavelength of 1.5418 Å.
Peak positions follow from Bragg's law for the DFT cell and can differ from measured ones.

Crystal structure
Cell lengths 6.5413, 6.5413, 8.5532 Å; angles 90.00, 90.00, 120.00 degrees
Space group P-3m1 (No. 164)
Inequivalent atoms, fractional coordinates:
Ac  0.0000  0.0000  0.0000 [1 per cell]
Ac  0.3333  0.6667  0.6476 [2 per cell]
Hg  0.0000  0.0000  0.5000 [1 per cell]
Ge  0.3333  0.6667  0.0480 [2 per cell]
Au  0.1826  0.3652  0.2799 [6 per cell]

Largest 10 diffraction maxima, in order of rising 2θ, 2θ from 5° to 70°:
(0 1 2), 2θ 26.1, 3.413 Å, I 250; (1 1 0), 2θ 27.3, 3.271 Å, I 227; (0 0 3), 2θ 31.4, 2.851 Å, I 168; (0 2 1), 2θ 33.3, 2.689 Å, I 1000; (1 1 2), 2θ 34.5, 2.598 Å, I 335; (2 0 2), 2θ 38.1, 2.361 Å, I 696; (0 0 4), 2θ 42.2, 2.140 Å, I 166; (0 2 3), 2θ 45.1, 2.009 Å, I 261; (2 2 0), 2θ 56.2, 1.636 Å, I 398; (1 2 4), 2θ 61.3, 1.513 Å, I 191

# 4
Diffraction record for LiAcGe2Au5. The powder diffractogram is simulated, not measured: it uses the GGA-PBE geometry in Alexandria and a wavelength of 1.5418 Å.
Peak positions follow from Bragg's law for the DFT cell and can differ from measured ones.

Crystal structure
Cell lengths 5.030, 5.030, 7.949 Å; angles 90.00, 90.00, 90.00 degrees
Space group P4/mmm (No. 123)
Inequivalent atoms, fractional coordinates:
Li  0.000  0.000  0.000 [1 per cell]
Ac  0.000  0.000  0.500 [1 per cell]
Ge  0.500  0.500  0.165 [2 per cell]
Au  0.000  0.500  0.223 [4 per cell]
Au  0.500  0.500  0.500 [1 per cell]

Largest 10 diffraction maxima, in order of rising 2θ, 2θ from 5° to 70°:
(0 0 1), 2θ 11.1, 7.949 Å, I 92; (0 0 2), 2θ 22.4, 3.975 Å, I 77; (1 1 1), 2θ 27.5, 3.246 Å, I 259; (1 1 2), 2θ 33.8, 2.650 Å, I 1000; (2 0 0), 2θ 35.7, 2.515 Å, I 566; (2 0 3), 2θ 50.0, 1.824 Å, I 210; (2 2 0), 2θ 51.4, 1.778 Å, I 203; (2 0 4), 2θ 59.3, 1.559 Å, I 198; (3 1 2), 2θ 62.9, 1.477 Å, I 396; (1 1 5), 2θ 64.2, 1.451 Å, I 99

# 5
Diffraction record for AcMg2GeAu4. The powder diffractogram is simulated, not measured: it uses the GGA-PBE geometry in Alexandria and a wavelength of 1.5418 Å.
Peak positions follow from Bragg's law for the DFT cell and can differ from measured ones.

Crystal structure
Cell lengths 4.5497, 4.5497, 29.4985 Å; angles 90.00, 90.00, 120.00 degrees
Space group R-3m (No. 166, hexagonal axes)
Inequivalent atoms, fractional coordinates:
Ac  0.0000  0.0000  0.0000 [3 per cell]
Mg  0.0000  0.0000  0.2349 [6 per cell]
Ge  0.0000  0.0000  0.5000 [3 per cell]
Au  0.0000  0.0000  0.1291 [6 per cell]
Au  0.0000  0.0000  0.3980 [6 per cell]

Largest 10 diffraction maxima, in order of rising 2θ, 2θ from 5° to 70°:
(0 1 2), 2θ 23.4, 3.807 Å, I 335; (1 0 4), 2θ 25.6, 3.475 Å, I 341; (0 1 5), 2θ 27.2, 3.277 Å, I 213; (1 0 7), 2θ 31.1, 2.878 Å, I 407; (0 1 8), 2θ 33.3, 2.692 Å, I 954; (1 0 10), 2θ 38.1, 2.361 Å, I 265; (1 1 0), 2θ 39.6, 2.275 Å, I 1000; (2 0 8), 2θ 52.7, 1.738 Å, I 264; (1 1 15), 2θ 62.4, 1.488 Å, I 315; (1 2 8), 2θ 67.9, 1.381 Å, I 265

# 6
Diffraction record for Ac3Ge2SbAu6. The powder diffractogram is simulated, not measured: it uses the GGA-PBE geometry in Alexandria and a wavelength of 1.5418 Å.
Peak positions follow from Bragg's law for the DFT cell and can differ from measured ones.

Crystal structure
Cell lengths 6.6250, 6.6250, 8.4414 Å; angles 90.00, 90.00, 120.00 degrees
Space group P-3m1 (No. 164)
Inequivalent atoms, fractional coordinates:
Ac  0.0000  0.0000  0.0000 [1 per cell]
Ac  0.3333  0.6667  0.6543 [2 per cell]
Ge  0.3333  0.6667  0.0489 [2 per cell]
Sb  0.0000  0.0000  0.5000 [1 per cell]
Au  0.1836  0.3671  0.2814 [6 per cell]

Largest 10 diffraction maxima, in order of rising 2θ, 2θ from 5° to 70°:
(0 0 2), 2θ 21.0, 4.221 Å, I 192; (0 1 2), 2θ 26.2, 3.400 Å, I 185; (1 1 0), 2θ 26.9, 3.313 Å, I 175; (0 0 3), 2θ 31.8, 2.814 Å, I 188; (0 2 1), 2θ 33.0, 2.716 Å, I 1000; (1 1 2), 2θ 34.4, 2.606 Å, I 225; (2 0 2), 2θ 37.9, 2.373 Å, I 620; (0 2 3), 2θ 45.1, 2.009 Å, I 243; (2 2 0), 2θ 55.5, 1.656 Å, I 280; (2 1 4), 2θ 61.3, 1.512 Å, I 141

# 7
Diffraction record for Ac2ScGe4Au3. The powder diffractogram is simulated, not measured: it uses the GGA-PBE geometry in Alexandria and a wavelength of 1.5418 Å.
Peak positions follow from Bragg's law for the DFT cell and can differ from measured ones.

Crystal structure
Cell lengths 4.539, 4.539, 11.140 Å; angles 90.00, 90.00, 90.00 degrees
Space group P-4m2 (No. 115)
Inequivalent atoms, fractional coordinates:
Ac  0.000  0.500  0.238 [2 per cell]
Sc  0.000  0.000  0.500 [1 per cell]
Ge  0.000  0.000  0.000 [1 per cell]
Ge  0.000  0.500  0.640 [2 per cell]
Ge  0.500  0.500  0.000 [1 per cell]
Au  0.000  0.500  0.874 [2 per cell]
Au  0.500  0.500  0.500 [1 per cell]

Largest 10 diffraction maxima, in order of rising 2θ, 2θ from 5° to 70°:
(1 1 0), 2θ 27.8, 3.210 Å, I 334; (1 1 1), 2θ 28.9, 3.084 Å, I 162; (1 0 3), 2θ 31.1, 2.874 Å, I 904; (1 1 2), 2θ 32.2, 2.781 Å, I 1000; (2 0 0), 2θ 39.7, 2.270 Å, I 714; (1 0 5), 2θ 45.3, 2.000 Å, I 404; (2 1 3), 2θ 51.3, 1.781 Å, I 458; (2 2 0), 2θ 57.4, 1.606 Å, I 371; (2 1 5), 2θ 61.8, 1.501 Å, I 310; (3 1 2), 2θ 67.4, 1.390 Å, I 248

# 8
Diffraction record for Ac2TbGe3Au4. The powder diffractogram is simulated, not measured: it uses the GGA-PBE geometry in Alexandria and a wavelength of 1.5418 Å.
Peak positions follow from Bragg's law for the DFT cell and can differ from measured ones.

Crystal structure
Cell lengths 4.503, 4.503, 11.895 Å; angles 90.00, 90.00, 90.00 degrees
Space group P-4m2 (No. 115)
Inequivalent atoms, fractional coordinates:
Ac  0.000  0.500  0.220 [2 per cell]
Tb  0.000  0.000  0.500 [1 per cell]
Ge  0.000  0.500  0.875 [2 per cell]
Ge  0.500  0.500  0.500 [1 per cell]
Au  0.000  0.000  0.000 [1 per cell]
Au  0.000  0.500  0.656 [2 per cell]
Au  0.500  0.500  0.000 [1 per cell]

Largest 10 diffraction maxima, in order of rising 2θ, 2θ from 5° to 70°:
(1 0 2), 2θ 24.8, 3.590 Å, I 194; (1 0 3), 2θ 30.0, 2.975 Å, I 312; (1 1 2), 2θ 31.9, 2.807 Å, I 1000; (1 0 4), 2θ 36.2, 2.481 Å, I 182; (2 0 0), 2θ 40.0, 2.251 Å, I 500; (1 1 4), 2θ 41.6, 2.173 Å, I 188; (1 0 5), 2θ 43.0, 2.103 Å, I 182; (2 1 3), 2θ 50.9, 1.795 Å, I 174; (2 2 0), 2θ 57.9, 1.592 Å, I 179; (3 1 2), 2θ 67.7, 1.385 Å, I 237

# 9
Diffraction record for AcTbGe2Au2. The powder diffractogram is simulated, not measured: it uses the GGA-PBE geometry in Alexandria and a wavelength of 1.5418 Å.
Peak positions follow from Bragg's law for the DFT cell and can differ from measured ones.

Crystal structure
Cell lengths 4.5181, 4.5181, 8.0765 Å; angles 90.00, 90.00, 120.00 degrees
Space group P-3m1 (No. 164)
Inequivalent atoms, fractional coordinates:
Ac  0.0000  0.0000  0.0000 [1 per cell]
Tb  0.0000  0.0000  0.5000 [1 per cell]
Ge  0.3333  0.6667  0.7396 [2 per cell]
Au  0.3333  0.6667  0.2885 [2 per cell]

Largest 10 diffraction maxima, in order of rising 2θ, 2θ from 5° to 70°:
(0 1 1), 2θ 25.3, 3.521 Å, I 228; (1 0 2), 2θ 31.8, 2.810 Å, I 1000; (0 0 3), 2θ 33.3, 2.692 Å, I 45; (1 1 0), 2θ 39.9, 2.259 Å, I 564; (0 0 4), 2θ 44.9, 2.019 Å, I 88; (0 1 4), 2θ 50.9, 1.794 Å, I 66; (0 2 2), 2θ 51.9, 1.761 Å, I 257; (1 1 3), 2θ 52.9, 1.731 Å, I 75; (1 1 4), 2θ 61.6, 1.505 Å, I 208; (2 1 2), 2θ 67.4, 1.389 Å, I 236

# 10
Diffraction record for Ac2Zn3GeAu4. The powder diffractogram is simulated, not measured: it uses the GGA-PBE geometry in Alexandria and a wavelength of 1.5418 Å.
Peak positions follow from Bragg's law for the DFT cell and can differ from measured ones.

Crystal structure
Cell lengths 4.576, 4.576, 10.603 Å; angles 90.00, 90.00, 90.00 degrees
Space group P-4m2 (No. 115)
Inequivalent atoms, fractional coordinates:
Ac  0.000  0.500  0.248 [2 per cell]
Zn  0.000  0.000  0.000 [1 per cell]
Zn  0.000  0.500  0.625 [2 per cell]
Ge  0.500  0.500  0.000 [1 per cell]
Au  0.000  0.000  0.500 [1 per cell]
Au  0.000  0.500  0.869 [2 per cell]
Au  0.500  0.500  0.500 [1 per cell]

Largest 10 diffraction maxima, in order of rising 2θ, 2θ from 5° to 70°:
(1 1 1), 2θ 28.8, 3.095 Å, I 230; (1 0 3), 2θ 32.0, 2.797 Å, I 621; (1 1 2), 2θ 32.4, 2.762 Å, I 1000; (2 0 0), 2θ 39.4, 2.288 Å, I 669; (1 1 4), 2θ 44.2, 2.051 Å, I 169; (1 0 5), 2θ 47.3, 1.923 Å, I 342; (2 1 3), 2θ 51.6, 1.771 Å, I 337; (2 2 0), 2θ 56.9, 1.618 Å, I 231; (2 1 5), 2θ 63.1, 1.472 Å, I 257; (3 1 2), 2θ 67.0, 1.396 Å, I 252

# 11
Diffraction record for Ac6HIr2Au. The powder diffractogram is simulated, not measured: it uses the GGA-PBE geometry in Alexandria and a wavelength of 1.5418 Å.
Peak positions follow from Bragg's law for the DFT cell and can differ from measured ones.

Crystal structure
Cell lengths 7.5228, 7.5228, 20.7756 Å; angles 90.00, 90.00, 120.00 degrees
Space group R3 (No. 146, hexagonal axes)
Inequivalent atoms, fractional coordinates:
Ac  0.0037  0.3340  0.0000 [9 per cell]
Ac  0.0355  0.6958  0.1659 [9 per cell]
H  0.0000  0.0000  0.4084 [3 per cell]
Ir  0.0000  0.0000  0.0813 [3 per cell]
Ir  0.0000  0.0000  0.5893 [3 per cell]
Au  0.0000  0.0000  0.9047 [3 per cell]

Largest 10 diffraction maxima, in order of rising 2θ, 2θ from 5° to 70°:
(0 1 2), 2θ 16.1, 5.519 Å, I 172; (0 0 6), 2θ 25.7, 3.463 Å, I 86; (2 -1 3), 2θ 27.0, 3.305 Å, I 1000; (1 1 6), 2θ 35.2, 2.548 Å, I 565; (3 0 0), 2θ 41.6, 2.172 Å, I 412; (1 1 9), 2θ 46.1, 1.967 Å, I 237; (2 2 3), 2θ 50.3, 1.815 Å, I 174; (4 -2 6), 2θ 55.6, 1.653 Å, I 144; (5 -1 3), 2θ 67.2, 1.393 Å, I 125; (3 0 12), 2θ 69.4, 1.354 Å, I 168

# 12
Diffraction record for AcSbHAu. The powder diffractogram is simulated, not measured: it uses the GGA-PBE geometry in Alexandria and a wavelength of 1.5418 Å.
Peak positions follow from Bragg's law for the DFT cell and can differ from measured ones.

Crystal structure
Cell lengths 4.6624, 4.6624, 4.7852 Å; angles 90.00, 90.00, 120.00 degrees
Space group P3m1 (No. 156)
Inequivalent atoms, fractional coordinates:
Ac  0.0000  0.0000  0.0000 [1 per cell]
Sb  0.6667  0.3333  0.5565 [1 per cell]
H  0.3333  0.6667  0.0326 [1 per cell]
Au  0.3333  0.6667  0.4108 [1 per cell]

Largest 10 diffraction maxima, in order of rising 2θ, 2θ from 5° to 70°:
(0 1 1), 2θ 28.9, 3.086 Å, I 1000; (0 0 2), 2θ 37.6, 2.393 Å, I 96; (1 1 0), 2θ 38.6, 2.331 Å, I 459; (1 0 2), 2θ 44.0, 2.058 Å, I 151; (2 0 1), 2θ 49.0, 1.860 Å, I 241; (1 1 2), 2θ 55.0, 1.670 Å, I 193; (0 2 2), 2θ 60.0, 1.543 Å, I 61; (0 1 3), 2θ 62.6, 1.483 Å, I 103; (1 2 1), 2θ 64.0, 1.454 Å, I 218; (3 0 0), 2θ 69.9, 1.346 Å, I 82

# 13
Diffraction record for AcSnHAu. The powder diffractogram is simulated, not measured: it uses the GGA-PBE geometry in Alexandria and a wavelength of 1.5418 Å.
Peak positions follow from Bragg's law for the DFT cell and can differ from measured ones.

Crystal structure
Cell lengths 4.7615, 4.7615, 4.5067 Å; angles 90.00, 90.00, 120.00 degrees
Space group P3m1 (No. 156)
Inequivalent atoms, fractional coordinates:
Ac  0.0000  0.0000  0.0000 [1 per cell]
Sn  0.6667  0.3333  0.5317 [1 per cell]
H  0.3333  0.6667  0.0452 [1 per cell]
Au  0.3333  0.6667  0.4415 [1 per cell]

Largest 10 diffraction maxima, in order of rising 2θ, 2θ from 5° to 70°:
(1 0 0), 2θ 21.6, 4.124 Å, I 57; (0 1 1), 2θ 29.4, 3.042 Å, I 1000; (1 1 0), 2θ 37.8, 2.381 Å, I 511; (0 0 2), 2θ 40.0, 2.253 Å, I 118; (1 0 2), 2θ 45.9, 1.977 Å, I 71; (2 0 1), 2θ 48.6, 1.875 Å, I 258; (1 1 2), 2θ 56.2, 1.637 Å, I 269; (1 2 1), 2θ 63.1, 1.473 Å, I 239; (0 1 3), 2θ 66.2, 1.411 Å, I 103; (3 0 0), 2θ 68.2, 1.375 Å, I 94

# 14
Diffraction record for AcHfAu2O8. The powder diffractogram is simulated, not measured: it uses the GGA-PBE geometry in Alexandria and a wavelength of 1.5418 Å.
Peak positions follow from Bragg's law for the DFT cell and can differ from measured ones.

Crystal structure
Cell lengths 5.606, 5.606, 10.360 Å; angles 90.00, 90.00, 90.00 degrees
Space group I-4 (No. 82)
Inequivalent atoms, fractional coordinates:
Ac  0.000  0.000  0.000 [2 per cell]
Hf  0.000  0.500  0.250 [2 per cell]
Au  0.000  0.000  0.500 [2 per cell]
Au  0.000  0.500  0.750 [2 per cell]
O  0.070  0.381  0.451 [8 per cell]
O  0.181  0.809  0.784 [8 per cell]

Largest 10 diffraction maxima, in order of rising 2θ, 2θ from 5° to 70°:
(1 1 2), 2θ 28.3, 3.148 Å, I 1000; (2 0 0), 2θ 31.9, 2.803 Å, I 395; (0 0 4), 2θ 34.6, 2.590 Å, I 199; (2 0 2), 2θ 36.4, 2.465 Å, I 11; (2 2 0), 2θ 45.8, 1.982 Å, I 170; (2 0 4), 2θ 47.8, 1.902 Å, I 264; (1 3 2), 2θ 54.7, 1.677 Å, I 400; (1 1 6), 2θ 58.3, 1.583 Å, I 158; (2 2 4), 2θ 58.6, 1.574 Å, I 159; (4 0 0), 2θ 66.7, 1.402 Å, I 48